Entry 1:
Y2MgCr2O8: simulated powder X-ray diffraction pattern (Cu Ka), based on a cell relaxed with GGA+U.

Crystal structure
abc: 6.0813 6.0813 6.2076
angles: 105.67 105.67 116.55
Element x y z (fractional)
1 Y 0.0000 0.0000 0.0000
2 Y 0.7780 0.2220 0.5000
3 Mg 0.4892 0.5108 0.5000
4 Cr 0.2254 0.7746 0.5000
5 Cr 0.5011 0.4989 0.0000
6 O 0.0276 0.7411 0.6664
7 O 0.1024 0.4052 0.3427
8 O 0.1353 0.3108 0.8253
9 O 0.2589 0.9724 0.3336
10 O 0.5115 0.3302 0.1993
11 O 0.5948 0.8976 0.6573
12 O 0.6698 0.4885 0.8007
13 O 0.6892 0.8647 0.1747

Most intense lines, 10 to 90 degrees two-theta, in order of falling intensity:
two_theta, Rel. int.
24.0, 100
32.7, 43
48.4, 35
32.9, 28
47.8, 28
49.1, 19
39.0, 18
33.7, 15
59.6, 14
18.3, 11



Entry 2:
Li2Mn3O6: simulated powder X-ray diffraction pattern (Cu Ka), based on a cell relaxed with GGA+U.

Crystal structure
abc: 5.7524 7.2857 10.4682
angles: 95.60 93.00 91.52
Element x y z (fractional)
1 Li 0.0000 0.0000 0.0000
2 Li 0.9997 0.2939 0.6919
3 Li 0.2364 0.6784 0.5922
4 Li 0.2436 0.6645 0.0973
5 Li 0.2457 0.9575 0.2735
6 Li 0.4785 0.6751 0.8269
7 Li 0.9948 0.0018 0.5102
8 Li 0.9968 0.2924 0.1903
9 Mn 0.2322 0.3152 0.9331
10 Mn 0.2372 0.3167 0.4335
11 Mn 0.4829 0.9759 0.5104
12 Mn 0.4842 0.9850 0.0050
13 Mn 0.5011 0.3151 0.6943
14 Mn 0.5025 0.3205 0.1958
15 Mn 0.7370 0.6405 0.0909
16 Mn 0.7369 0.6405 0.5855
17 Mn 0.7495 0.9866 0.2707
18 Mn 0.7530 0.9910 0.7688
19 Mn 0.9968 0.6529 0.8472
20 Mn 0.9991 0.6456 0.3483
21 O 0.0065 0.1401 0.8442
22 O 0.0117 0.1359 0.3414
23 O 0.2260 0.8249 0.4385
24 O 0.2439 0.8088 0.9403
25 O 0.2591 0.4504 0.2822
26 O 0.2618 0.1632 0.0809
27 O 0.2630 0.1660 0.5800
28 O 0.2631 0.4557 0.7833
29 O 0.4696 0.4671 0.5448
30 O 0.4702 0.4679 0.0445
31 O 0.5062 0.1459 0.3345
32 O 0.5162 0.1510 0.8366
33 O 0.5234 0.8241 0.1667
34 O 0.5275 0.8144 0.6699
35 O 0.7245 0.1325 0.1189
36 O 0.7250 0.1325 0.6196
37 O 0.7293 0.8418 0.9212
38 O 0.7305 0.8427 0.4259
39 O 0.7540 0.4925 0.7460
40 O 0.7675 0.4837 0.2430
41 O 0.9710 0.7983 0.6959
42 O 0.9764 0.7987 0.1991
43 O 0.9776 0.5179 0.9974
44 O 0.9820 0.5142 0.4978

Most intense lines, 10 to 90 degrees two-theta, in order of falling intensity:
two_theta, Rel. int.
20.0, 100
22.4, 92
40.6, 87
43.5, 77
46.2, 64
27.8, 61
28.7, 47
37.2, 25
32.7, 23
65.0, 22



Entry 3:
NaMg2Al6VSi6B3H3O31: simulated powder X-ray diffraction pattern (Cu Ka), based on a cell relaxed with GGA+U.

Crystal structure
abc: 9.6145 9.6145 7.2300
angles: 104.57 104.57 113.86
Element x y z (fractional)
1 Na 0.0000 0.0000 0.0000
2 Mg 0.1795 0.9969 0.6464
3 Mg 0.9969 0.1795 0.6464
4 Al 0.2201 0.5522 0.8722
5 Al 0.3269 0.7706 0.6475
6 Al 0.4354 0.6633 0.3135
7 Al 0.5522 0.2201 0.8722
8 Al 0.6633 0.4354 0.3135
9 Al 0.7706 0.3269 0.6475
10 V 0.8170 0.8170 0.4638
11 Si 0.1847 0.3783 0.4133
12 Si 0.1890 0.8067 0.2246
13 Si 0.3783 0.1847 0.4133
14 Si 0.6131 0.8026 0.0282
15 Si 0.8026 0.6131 0.0282
16 Si 0.8067 0.1890 0.2246
17 B 0.3268 0.3268 0.9928
18 B 0.6624 0.9945 0.6605
19 B 0.9945 0.6624 0.6605
20 H 0.3802 0.9957 0.9735
21 H 0.6118 0.6118 0.5882
22 H 0.9957 0.3802 0.9735
23 O 0.1439 0.6619 0.7221
24 O 0.1770 0.3830 0.6347
25 O 0.1828 0.1828 0.8702
26 O 0.2005 0.8135 0.4533
27 O 0.2755 0.2755 0.3378
28 O 0.2759 0.9954 0.2249
29 O 0.2804 0.7095 0.1403
30 O 0.2822 0.5666 0.4268
31 O 0.3305 0.4793 0.0556
32 O 0.3830 0.1770 0.6347
33 O 0.3939 0.9954 0.8441
34 O 0.4242 0.7117 0.8558
35 O 0.4793 0.3305 0.0556
36 O 0.5114 0.8462 0.5706
37 O 0.5666 0.2822 0.4268
38 O 0.6001 0.6001 0.4458
39 O 0.6090 0.7905 0.2471
40 O 0.6619 0.1439 0.7221
41 O 0.7095 0.2804 0.1403
42 O 0.7117 0.4242 0.8558
43 O 0.7137 0.7137 0.9419
44 O 0.7153 0.9957 0.0564
45 O 0.7905 0.6090 0.2471
46 O 0.8075 0.9939 0.6823
47 O 0.8135 0.2005 0.4533
48 O 0.8462 0.5114 0.5706
49 O 0.9859 0.9859 0.4354
50 O 0.9939 0.8075 0.6823
51 O 0.9954 0.2759 0.2249
52 O 0.9954 0.3939 0.8441
53 O 0.9957 0.7153 0.0564

Most intense lines, 10 to 90 degrees two-theta, in order of falling intensity:
two_theta, Rel. int.
34.4, 100
30.0, 67
22.1, 64
20.8, 54
25.5, 42
43.9, 42
46.9, 29
13.8, 29
17.7, 19
57.1, 18



Entry 4:
Na3Li3Mn2P2C2O14: simulated powder X-ray diffraction pattern (Cu Ka), based on a cell relaxed with GGA+U.

Crystal structure
abc: 6.7726 8.7743 10.1838
angles: 90.92 90.20 91.16
Element x y z (fractional)
1 Na 0.0000 0.0000 0.0000
2 Na 0.9999 0.0017 0.4990
3 Na 0.4965 0.0018 0.0014
4 Na 0.7392 0.1729 0.7523
5 Na 0.9982 0.5094 0.2510
6 Na 0.9995 0.5092 0.7504
7 Li 0.2619 0.3479 0.0025
8 Li 0.2725 0.3436 0.5016
9 Li 0.4736 0.5287 0.7628
10 Li 0.4820 0.5239 0.2583
11 Li 0.5236 0.9821 0.4880
12 Li 0.7334 0.1715 0.2504
13 Mn 0.2490 0.8937 0.7595
14 Mn 0.2525 0.8969 0.2648
15 Mn 0.7425 0.6131 0.9865
16 Mn 0.7442 0.6088 0.4872
17 P 0.2508 0.6592 0.0212
18 P 0.2575 0.6613 0.5203
19 P 0.7378 0.8405 0.7249
20 P 0.7451 0.8467 0.2302
21 C 0.2592 0.2113 0.2421
22 C 0.2596 0.2108 0.7408
23 C 0.7375 0.2990 0.5018
24 C 0.7450 0.3154 0.0180
25 O 0.0611 0.5632 0.9893
26 O 0.0619 0.5762 0.4832
27 O 0.2455 0.8201 0.9602
28 O 0.2503 0.1059 0.6489
29 O 0.2509 0.1714 0.3644
30 O 0.2525 0.1725 0.8642
31 O 0.2530 0.1066 0.1491
32 O 0.2695 0.8265 0.4655
33 O 0.2737 0.3531 0.2087
34 O 0.2738 0.6755 0.6734
35 O 0.2736 0.6802 0.1735
36 O 0.2753 0.3526 0.7071
37 O 0.4235 0.5622 0.9670
38 O 0.4253 0.5587 0.4669
39 O 0.5636 0.9372 0.7751
40 O 0.5724 0.9507 0.2752
41 O 0.7212 0.1543 0.5225
42 O 0.7270 0.8287 0.5715
43 O 0.7305 0.6758 0.7800
44 O 0.7298 0.6847 0.2888
45 O 0.7327 0.4103 0.1164
46 O 0.7405 0.8282 0.0774
47 O 0.7447 0.3952 0.6011
48 O 0.7472 0.3501 0.3824
49 O 0.7476 0.3676 0.8989
50 O 0.7540 0.1704 0.0400
51 O 0.9313 0.9279 0.7652
52 O 0.9376 0.9344 0.2713

Most intense lines, 10 to 90 degrees two-theta, in order of falling intensity:
two_theta, Rel. int.
10.1, 100
26.3, 84
35.3, 43
33.1, 35
26.6, 31
20.3, 23
20.0, 23
54.2, 22
37.9, 21
49.0, 19



Entry 5:
Li3Fe8B8O24: simulated powder X-ray diffraction pattern (Cu Ka), based on a cell relaxed with GGA+U.

Crystal structure
abc: 5.2456 9.1534 10.0239
angles: 88.61 89.32 88.74
Element x y z (fractional)
1 Li 0.0000 0.0000 0.0000
2 Li 0.0037 0.9970 0.4966
3 Li 0.5009 0.5010 0.9918
4 Fe 0.0248 0.3332 0.9626
5 Fe 0.3378 0.6742 0.7140
6 Fe 0.3508 0.0102 0.2163
7 Fe 0.4900 0.1930 0.4620
8 Fe 0.5195 0.8320 0.9600
9 Fe 0.8366 0.5062 0.2176
10 Fe 0.8384 0.1769 0.7155
11 Fe 0.9990 0.6614 0.4632
12 B 0.0116 0.6725 0.9654
13 B 0.3337 0.6726 0.2134
14 B 0.3424 0.0042 0.7093
15 B 0.4994 0.8416 0.4635
16 B 0.5157 0.1710 0.9641
17 B 0.8386 0.1740 0.2117
18 B 0.8404 0.5026 0.7135
19 B 0.9993 0.3444 0.4624
20 O 0.0819 0.0209 0.6979
21 O 0.0837 0.6595 0.2648
22 O 0.2513 0.3545 0.4569
23 O 0.2653 0.6562 0.9190
24 O 0.3472 0.7263 0.5104
25 O 0.3683 0.9694 0.4210
26 O 0.3875 0.0438 0.0074
27 O 0.3983 0.3041 0.9641
28 O 0.4193 0.8086 0.1732
29 O 0.4461 0.8702 0.7516
30 O 0.4843 0.5508 0.1958
31 O 0.5007 0.1178 0.6729
32 O 0.5865 0.1622 0.2508
33 O 0.5873 0.5275 0.7278
34 O 0.7615 0.8286 0.4621
35 O 0.7741 0.1547 0.9222
36 O 0.8460 0.4699 0.4215
37 O 0.8713 0.2175 0.5069
38 O 0.8894 0.5454 0.0123
39 O 0.8933 0.8057 0.9651
40 O 0.9306 0.3097 0.1732
41 O 0.9521 0.3705 0.7536
42 O 0.9945 0.0514 0.2049
43 O 0.9987 0.6121 0.6599

Most intense lines, 10 to 90 degrees two-theta, in order of falling intensity:
two_theta, Rel. int.
35.8, 100
21.5, 93
19.7, 81
26.0, 76
21.6, 63
19.4, 43
50.1, 41
34.3, 36
60.7, 35
26.6, 34



Entry 6:
LiVF4: simulated powder X-ray diffraction pattern (Cu Ka), based on a cell relaxed with GGA+U.

Crystal structure
abc: 4.9416 3.1307 5.4436
angles: 90.00 112.57 90.00
Element x y z (fractional)
1 Li 0.0000 0.0000 0.0000
2 V 0.0000 0.5000 0.5000
3 F 0.1922 0.5000 0.2522
4 F 0.2263 0.0000 0.7198
5 F 0.7737 0.0000 0.2802
6 F 0.8078 0.5000 0.7478

Most intense lines, 10 to 90 degrees two-theta, in order of falling intensity:
two_theta, Rel. int.
19.5, 100
42.7, 65
17.6, 62
20.7, 34
42.0, 31
34.8, 21
58.8, 20
33.7, 19
28.5, 13
58.4, 13